Record 1
The following is a computed XRD peak list of Ce3Cu4P4O2. It was derived from a structure optimized by DFT (PBE), using Cu Kα (weighted mean of Kα1 and Kα2).
No peak broadening, texture or thermal motion is included.

```
Ce3Cu4P4O2
1.0
-1.9454 1.9454 13.4189
1.9454 -1.9454 13.4189
1.9454 1.9454 -13.4189
Ce Cu P O
3 4 4 2
direct
0.0000 0.0000 0.0000
0.2979 0.2979 0.0000
0.7021 0.7021 0.0000
0.0979 0.5979 0.5000
0.4021 0.9021 0.5000
0.5979 0.0979 0.5000
0.9021 0.4021 0.5000
0.1470 0.1470 0.0000
0.4551 0.4551 0.0000
0.5449 0.5449 0.0000
0.8530 0.8530 0.0000
0.2500 0.7500 0.5000
0.7500 0.2500 0.5000
```

Principal peaks in the range 2θ from 5° to 70°, by angle:
d/Å  2theta  I_rel
3.568  25.0  61
2.731  32.8  100
2.684  33.4  32
2.545  35.3  60
2.343  38.4  78
1.945  46.7  61
1.824  50.0  26
1.584  58.2  38
1.574  58.7  47
1.376  68.2  19


Record 2
The following is a computed XRD peak list of Sr2CeYCu2RuO10. It was derived from a structure optimized by DFT (PBE), using Cu Kα (weighted mean of Kα1 and Kα2).
No peak broadening, texture or thermal motion is included.

```
Sr2CeYCu2RuO10
1.0
-1.9303 1.9303 14.6435
1.9303 -1.9303 14.6435
1.9303 1.9303 -14.6435
Sr Ce Y Cu Ru O
2 1 1 2 1 10
direct
0.0000 0.0000 0.0000
0.1570 0.1570 0.0000
0.2872 0.2872 0.0000
0.8747 0.8747 0.0000
0.4356 0.4356 0.0000
0.7240 0.7240 0.0000
0.5800 0.5800 0.0000
0.0805 0.5805 0.5000
0.2333 0.7333 0.5000
0.3295 0.8295 0.5000
0.4275 0.9275 0.5000
0.5111 0.5111 0.0000
0.5805 0.0805 0.5000
0.6498 0.6498 0.0000
0.7333 0.2333 0.5000
0.8295 0.3295 0.5000
0.9275 0.4275 0.5000
```

Principal peaks in the range 2θ from 5° to 70°, by angle:
d/Å  2theta  I_rel
3.590  24.8  11
2.837  31.5  100
2.730  32.8  38
2.092  43.2  12
1.997  45.4  8
1.930  47.1  29
1.660  55.3  17
1.596  57.8  35
1.419  65.8  12
1.365  68.8  9


Record 3
The following is a computed XRD peak list of CeCuSO. It was derived from a structure optimized by DFT (PBE), using Cu Kα (weighted mean of Kα1 and Kα2).
No peak broadening, texture or thermal motion is included.

```
CeCuSO
1.0
3.9097 0.0000 0.0000
0.0000 3.9097 0.0000
0.0000 0.0000 8.5220
Ce Cu S O
2 2 2 2
direct
0.2500 0.2500 0.1494
0.7500 0.7500 0.8506
0.2500 0.7500 0.5000
0.7500 0.2500 0.5000
0.2500 0.2500 0.6657
0.7500 0.7500 0.3343
0.2500 0.7500 0.0000
0.7500 0.2500 0.0000
```

Principal peaks in the range 2θ from 5° to 70°, by angle:
d/Å  2theta  I_rel
3.554  25.1  44
2.881  31.0  100
2.841  31.5  21
2.765  32.4  13
2.630  34.1  41
2.319  38.8  43
1.955  46.5  40
1.688  54.4  35
1.618  56.9  34
1.610  57.2  16


Record 4
The following is a computed XRD peak list of CeCuTeO. It was derived from a structure optimized by DFT (PBE), using Cu Kα (weighted mean of Kα1 and Kα2).
No peak broadening, texture or thermal motion is included.

```
CeCuTeO
1.0
4.0988 0.0000 0.0000
0.0000 4.0988 0.0000
0.0000 0.0000 9.4166
Ce Cu Te O
2 2 2 2
direct
0.2500 0.2500 0.1274
0.7500 0.7500 0.8726
0.2500 0.7500 0.5000
0.7500 0.2500 0.5000
0.2500 0.2500 0.6811
0.7500 0.7500 0.3189
0.2500 0.7500 0.0000
0.7500 0.2500 0.0000
```

Principal peaks in the range 2θ from 5° to 70°, by angle:
d/Å  2theta  I_rel
3.091  28.9  100
2.898  30.9  24
2.770  32.3  13
2.492  36.0  16
2.468  36.4  29
2.049  44.2  34
1.827  49.9  23
1.708  53.7  35
1.449  64.3  11
1.387  67.6  10